# Th4Bi2H9
Theoretical XRD peak list, Cu Ka. Input: a GGA-PBE-relaxed structure.
Lines closer than 0.1° are merged.

Cell and atoms:
```
data_Th4Bi2H9
_chemical_formula_sum 'Th4 Bi2 H9'
_cell_length_a 3.9826
_cell_length_b 3.9826
_cell_length_c 15.8750
_cell_angle_alpha 90.00
_cell_angle_beta 90.00
_cell_angle_gamma 120.00
_symmetry_space_group_name_H-M 'P 1'
_symmetry_Int_Tables_number 1
loop_
_symmetry_equiv_pos_as_xyz
'x,y,z'
loop_
_atom_site_label
_atom_site_type_symbol
_atom_site_fract_x
_atom_site_fract_y
_atom_site_fract_z
Th1 Th 0.3333 0.6667 0.1041
Th2 Th 0.3333 0.6667 0.3966
Th3 Th 0.6667 0.3333 0.6034
Th4 Th 0.6667 0.3333 0.8959
Bi1 Bi 0.3333 0.6667 0.7497
Bi2 Bi 0.6667 0.3333 0.2503
H1 H 0.0000 0.0000 0.1163
H2 H 0.0000 0.0000 0.3680
H3 H 0.0000 0.0000 0.5000
H4 H 0.0000 0.0000 0.6320
H5 H 0.0000 0.0000 0.8837
H6 H 0.3333 0.6667 0.5522
H7 H 0.3333 0.6667 0.9532
H8 H 0.6667 0.3333 0.0468
H9 H 0.6667 0.3333 0.4478
```

Largest 10 diffraction maxima, by angle, 5° ≤ 2θ ≤ 70°:
2θ = 25.83°, 3.449 Å, rel. 29; 2θ = 30.95°, 2.889 Å, rel. 100; 2θ = 33.88°, 2.646 Å, rel. 13; 2θ = 38.54°, 2.336 Å, rel. 10; 2θ = 43.09°, 2.099 Å, rel. 10; 2θ = 45.55°, 1.991 Å, rel. 27; 2θ = 56.09°, 1.640 Å, rel. 20; 2θ = 57.96°, 1.591 Å, rel. 17; 2θ = 58.80°, 1.570 Å, rel. 7; 2θ = 66.52°, 1.406 Å, rel. 7

---

# MgZn2Si
Theoretical XRD peak list, Cu Ka. Input: a GGA-PBE-relaxed structure.
Lines closer than 0.1° are merged.

Cell and atoms:
```
data_MgZn2Si
_chemical_formula_sum 'Mg1 Zn2 Si1'
_cell_length_a 3.1386
_cell_length_b 3.8701
_cell_length_c 5.4700
_cell_angle_alpha 90.00
_cell_angle_beta 90.00
_cell_angle_gamma 90.00
_symmetry_space_group_name_H-M 'P 1'
_symmetry_Int_Tables_number 1
loop_
_symmetry_equiv_pos_as_xyz
'x,y,z'
loop_
_atom_site_label
_atom_site_type_symbol
_atom_site_fract_x
_atom_site_fract_y
_atom_site_fract_z
Mg1 Mg 0.0000 0.0000 0.0000
Zn1 Zn 0.5000 0.5000 0.2597
Zn2 Zn 0.5000 0.5000 0.7403
Si1 Si 0.0000 0.0000 0.5000
```

Largest 10 diffraction maxima, by angle, 5° ≤ 2θ ≤ 70°:
2θ = 22.98°, 3.870 Å, rel. 33; 2θ = 28.44°, 3.139 Å, rel. 20; 2θ = 32.74°, 2.735 Å, rel. 14; 2θ = 36.87°, 2.438 Å, rel. 100; 2θ = 40.38°, 2.234 Å, rel. 76; 2θ = 43.91°, 2.062 Å, rel. 59; 2θ = 46.96°, 1.935 Å, rel. 25; 2θ = 50.13°, 1.820 Å, rel. 16; 2θ = 58.85°, 1.569 Å, rel. 12; 2θ = 66.23°, 1.411 Å, rel. 33

---

# Cs4Ce3AgSe8
Theoretical XRD peak list, Cu Ka. Input: a GGA-PBE-relaxed structure.
Lines closer than 0.1° are merged.

Cell and atoms:
```
data_Cs4Ce3AgSe8
_chemical_formula_sum 'Cs4 Ce3 Ag1 Se8'
_cell_length_a 8.6737
_cell_length_b 8.6737
_cell_length_c 8.4804
_cell_angle_alpha 90.00
_cell_angle_beta 90.00
_cell_angle_gamma 120.00
_symmetry_space_group_name_H-M 'P 1'
_symmetry_Int_Tables_number 1
loop_
_symmetry_equiv_pos_as_xyz
'x,y,z'
loop_
_atom_site_label
_atom_site_type_symbol
_atom_site_fract_x
_atom_site_fract_y
_atom_site_fract_z
Cs1 Cs 0.0000 0.0000 0.0000
Cs2 Cs 0.0000 0.5000 0.0000
Cs3 Cs 0.5000 0.0000 0.0000
Cs4 Cs 0.5000 0.5000 0.0000
Ce1 Ce 0.0000 0.5000 0.5000
Ce2 Ce 0.5000 0.0000 0.5000
Ce3 Ce 0.5000 0.5000 0.5000
Ag1 Ag 0.0000 0.0000 0.5000
Se1 Se 0.1724 0.3449 0.3160
Se2 Se 0.1724 0.8276 0.3160
Se3 Se 0.3333 0.6667 0.6867
Se4 Se 0.3449 0.1724 0.6840
Se5 Se 0.6551 0.8276 0.3160
Se6 Se 0.6667 0.3333 0.3133
Se7 Se 0.8276 0.1724 0.6840
Se8 Se 0.8276 0.6551 0.6840
```

Largest 10 diffraction maxima, by angle, 5° ≤ 2θ ≤ 70°:
2θ = 10.43°, 8.480 Å, rel. 9; 2θ = 20.95°, 4.240 Å, rel. 10; 2θ = 23.69°, 3.756 Å, rel. 32; 2θ = 25.95°, 3.434 Å, rel. 26; 2θ = 31.83°, 2.812 Å, rel. 100; 2θ = 41.65°, 2.168 Å, rel. 38; 2θ = 49.36°, 1.846 Å, rel. 24; 2θ = 53.36°, 1.717 Å, rel. 23; 2θ = 66.52°, 1.406 Å, rel. 10; 2θ = 69.88°, 1.346 Å, rel. 20

---

# Ce2TmSi2Ru5
Theoretical XRD peak list, Cu Ka. Input: a GGA-PBE-relaxed structure.
Lines closer than 0.1° are merged.

Cell and atoms:
```
data_Ce2TmSi2Ru5
_chemical_formula_sum 'Ce4 Tm2 Si4 Ru10'
_cell_length_a 10.2267
_cell_length_b 10.2267
_cell_length_c 3.3612
_cell_angle_alpha 90.00
_cell_angle_beta 90.00
_cell_angle_gamma 90.00
_symmetry_space_group_name_H-M 'P 1'
_symmetry_Int_Tables_number 1
loop_
_symmetry_equiv_pos_as_xyz
'x,y,z'
loop_
_atom_site_label
_atom_site_type_symbol
_atom_site_fract_x
_atom_site_fract_y
_atom_site_fract_z
Ce1 Ce 0.1745 0.3255 0.0000
Ce2 Ce 0.3255 0.8255 0.0000
Ce3 Ce 0.6745 0.1745 0.0000
Ce4 Ce 0.8255 0.6745 0.0000
Tm1 Tm 0.0000 0.0000 0.0000
Tm2 Tm 0.5000 0.5000 0.0000
Si1 Si 0.1230 0.6230 0.0000
Si2 Si 0.3770 0.1230 0.0000
Si3 Si 0.6230 0.8770 0.0000
Si4 Si 0.8770 0.3770 0.0000
Ru1 Ru 0.0000 0.5000 0.5000
Ru2 Ru 0.0698 0.7806 0.5000
Ru3 Ru 0.2194 0.0698 0.5000
Ru4 Ru 0.2806 0.5698 0.5000
Ru5 Ru 0.4302 0.2806 0.5000
Ru6 Ru 0.5000 0.0000 0.5000
Ru7 Ru 0.5698 0.7194 0.5000
Ru8 Ru 0.7194 0.4302 0.5000
Ru9 Ru 0.7806 0.9302 0.5000
Ru10 Ru 0.9302 0.2194 0.5000
```

Largest 10 diffraction maxima, by angle, 5° ≤ 2θ ≤ 70°:
2θ = 33.07°, 2.708 Å, rel. 46; 2θ = 36.22°, 2.480 Å, rel. 55; 2θ = 36.50°, 2.462 Å, rel. 36; 2θ = 38.64°, 2.330 Å, rel. 100; 2θ = 39.40°, 2.287 Å, rel. 36; 2θ = 41.67°, 2.168 Å, rel. 24; 2θ = 54.61°, 1.681 Å, rel. 18; 2θ = 60.95°, 1.520 Å, rel. 17; 2θ = 64.61°, 1.443 Å, rel. 15; 2θ = 67.30°, 1.391 Å, rel. 18

---

# Cs6Cl2OF
Theoretical XRD peak list, Cu Ka. Input: a GGA-PBE-relaxed structure.
Lines closer than 0.1° are merged.

Cell and atoms:
```
data_Cs6Cl2OF
_chemical_formula_sum 'Cs6 Cl2 O1 F1'
_cell_length_a 8.3140
_cell_length_b 8.3140
_cell_length_c 7.7388
_cell_angle_alpha 90.00
_cell_angle_beta 90.00
_cell_angle_gamma 120.00
_symmetry_space_group_name_H-M 'P 1'
_symmetry_Int_Tables_number 1
loop_
_symmetry_equiv_pos_as_xyz
'x,y,z'
loop_
_atom_site_label
_atom_site_type_symbol
_atom_site_fract_x
_atom_site_fract_y
_atom_site_fract_z
Cs1 Cs 0.1566 0.3131 0.2280
Cs2 Cs 0.1566 0.8434 0.2280
Cs3 Cs 0.3131 0.1566 0.7720
Cs4 Cs 0.6869 0.8434 0.2280
Cs5 Cs 0.8434 0.1566 0.7720
Cs6 Cs 0.8434 0.6869 0.7720
Cl1 Cl 0.3333 0.6667 0.9180
Cl2 Cl 0.6667 0.3333 0.0820
O1 O 0.0000 0.0000 0.0000
F1 F 0.0000 0.0000 0.5000
```

Largest 10 diffraction maxima, by angle, 5° ≤ 2θ ≤ 70°:
2θ = 12.29°, 7.200 Å, rel. 24; 2θ = 16.82°, 5.271 Å, rel. 17; 2θ = 22.98°, 3.869 Å, rel. 24; 2θ = 24.73°, 3.600 Å, rel. 19; 2θ = 27.32°, 3.264 Å, rel. 100; 2θ = 34.01°, 2.636 Å, rel. 24; 2θ = 43.14°, 2.097 Å, rel. 19; 2θ = 43.54°, 2.078 Å, rel. 20; 2θ = 49.80°, 1.831 Å, rel. 16; 2θ = 52.17°, 1.753 Å, rel. 15

---

# TiGa2Ni8
Theoretical XRD peak list, Cu Ka. Input: a GGA-PBE-relaxed structure.
Lines closer than 0.1° are merged.

Cell and atoms:
```
data_TiGa2Ni8
_chemical_formula_sum 'Ti1 Ga2 Ni8'
_cell_length_a 6.1238
_cell_length_b 6.1238
_cell_length_c 3.8097
_cell_angle_alpha 90.07
_cell_angle_beta 90.07
_cell_angle_gamma 106.51
_symmetry_space_group_name_H-M 'P 1'
_symmetry_Int_Tables_number 1
loop_
_symmetry_equiv_pos_as_xyz
'x,y,z'
loop_
_atom_site_label
_atom_site_type_symbol
_atom_site_fract_x
_atom_site_fract_y
_atom_site_fract_z
Ti1 Ti 0.0000 0.0000 0.0000
Ga1 Ga 0.3713 0.6287 0.5000
Ga2 Ga 0.6287 0.3713 0.5000
Ni1 Ni 0.0399 0.3028 0.5009
Ni2 Ni 0.2430 0.7570 0.0000
Ni3 Ni 0.3028 0.0399 0.5009
Ni4 Ni 0.3324 0.3324 0.0010
Ni5 Ni 0.6676 0.6676 0.9990
Ni6 Ni 0.6972 0.9601 0.4991
Ni7 Ni 0.7570 0.2430 0.0000
Ni8 Ni 0.9601 0.6972 0.4991
```

Largest 10 diffraction maxima, by angle, 5° ≤ 2θ ≤ 70°:
2θ = 24.30°, 3.663 Å, rel. 7; 2θ = 30.45°, 2.936 Å, rel. 12; 2θ = 38.72°, 2.325 Å, rel. 14; 2θ = 43.89°, 2.063 Å, rel. 100; 2θ = 45.05°, 2.012 Å, rel. 78; 2θ = 46.40°, 1.957 Å, rel. 38; 2θ = 47.75°, 1.905 Å, rel. 39; 2θ = 60.51°, 1.530 Å, rel. 14; 2θ = 68.71°, 1.366 Å, rel. 11; 2θ = 68.84°, 1.364 Å, rel. 11

---

# PrAg3Pd
Theoretical XRD peak list, Cu Ka. Input: a GGA-PBE-relaxed structure.
Lines closer than 0.1° are merged.

Cell and atoms:
```
data_PrAg3Pd
_chemical_formula_sum 'Pr2 Ag6 Pd2'
_cell_length_a 9.9750
_cell_length_b 9.9750
_cell_length_c 9.9750
_cell_angle_alpha 149.01
_cell_angle_beta 149.01
_cell_angle_gamma 44.40
_symmetry_space_group_name_H-M 'P 1'
_symmetry_Int_Tables_number 1
loop_
_symmetry_equiv_pos_as_xyz
'x,y,z'
loop_
_atom_site_label
_atom_site_type_symbol
_atom_site_fract_x
_atom_site_fract_y
_atom_site_fract_z
Pr1 Pr 0.1856 0.1856 0.0000
Pr2 Pr 0.8144 0.8144 0.0000
Ag1 Ag 0.3753 0.6230 0.7523
Ag2 Ag 0.3770 0.1293 0.7523
Ag3 Ag 0.3770 0.6247 0.2477
Ag4 Ag 0.5645 0.0645 0.5000
Ag5 Ag 0.8707 0.6230 0.2477
Ag6 Ag 0.9355 0.4355 0.5000
Pd1 Pd 0.2500 0.7500 0.5000
Pd2 Pd 0.5000 0.5000 0.0000
```

Largest 10 diffraction maxima, by angle, 5° ≤ 2θ ≤ 70°:
2θ = 17.32°, 5.121 Å, rel. 49; 2θ = 22.06°, 4.030 Å, rel. 35; 2θ = 29.42°, 3.036 Å, rel. 37; 2θ = 33.63°, 2.665 Å, rel. 43; 2θ = 35.05°, 2.560 Å, rel. 30; 2θ = 37.73°, 2.384 Å, rel. 43; 2θ = 38.06°, 2.365 Å, rel. 38; 2θ = 40.59°, 2.223 Å, rel. 100; 2θ = 52.44°, 1.745 Å, rel. 22; 2θ = 64.87°, 1.437 Å, rel. 24

---

# BaLi3
Theoretical XRD peak list, Cu Ka. Input: a GGA-PBE-relaxed structure.
Lines closer than 0.1° are merged.

Cell and atoms:
```
data_BaLi3
_chemical_formula_sum 'Ba3 Li9'
_cell_length_a 6.5336
_cell_length_b 6.5336
_cell_length_c 10.8825
_cell_angle_alpha 107.36
_cell_angle_beta 107.36
_cell_angle_gamma 59.77
_symmetry_space_group_name_H-M 'P 1'
_symmetry_Int_Tables_number 1
loop_
_symmetry_equiv_pos_as_xyz
'x,y,z'
loop_
_atom_site_label
_atom_site_type_symbol
_atom_site_fract_x
_atom_site_fract_y
_atom_site_fract_z
Ba1 Ba 0.0000 0.0000 0.0000
Ba2 Ba 0.1422 0.1422 0.4270
Ba3 Ba 0.8578 0.8578 0.5730
Li1 Li 0.0852 0.5763 0.2382
Li2 Li 0.3312 0.3312 0.9930
Li3 Li 0.4240 0.4240 0.7622
Li4 Li 0.4237 0.9148 0.7618
Li5 Li 0.5000 0.5000 0.5000
Li6 Li 0.5763 0.0852 0.2382
Li7 Li 0.5760 0.5760 0.2378
Li8 Li 0.6688 0.6688 0.0070
Li9 Li 0.9148 0.4237 0.7618
```

Largest 10 diffraction maxima, by angle, 5° ≤ 2θ ≤ 70°:
2θ = 15.95°, 5.558 Å, rel. 100; 2θ = 17.36°, 5.109 Å, rel. 28; 2θ = 25.74°, 3.462 Å, rel. 67; 2θ = 27.33°, 3.263 Å, rel. 59; 2θ = 28.14°, 3.171 Å, rel. 32; 2θ = 31.84°, 2.810 Å, rel. 16; 2θ = 32.53°, 2.752 Å, rel. 31; 2θ = 44.36°, 2.042 Å, rel. 18; 2θ = 47.31°, 1.921 Å, rel. 17; 2θ = 52.90°, 1.731 Å, rel. 17